CaTePt: calculated XRD peak list (Cu Kα), based on a crystal structure in Alexandria, relaxed with GGA-PBE.
No peak broadening, texture or thermal motion is included.

Peak list (12 most intense, 2θ = 10–90°, in order of rising 2θ)
d_spacing, I_rel
4.188, 100
4.057, 11
2.868, 68
2.600, 35
2.595, 12
2.168, 41
2.045, 23
2.029, 33
1.925, 25
1.666, 17
1.533, 13
1.352, 17

Structure:
```
6
Lattice="4.3352 0.0000 0.0000 -0.0003 4.3352 0.0000 -2.1432 -2.1592 8.1150" Properties=species:S:1:pos:R:3 pbc="T T T"
Ca 0.0000 0.0000 0.0000
Ca 0.0158 2.1684 4.0574
Te 2.1711 2.1690 1.4348
Te 2.1843 0.0002 5.4924
Pt 0.0153 0.0141 6.9507
Pt 2.1925 0.0013 2.8926
```

=====

CaTePt4: calculated XRD peak list (Cu Kα), based on a crystal structure in Alexandria, relaxed with GGA-PBE.
No peak broadening, texture or thermal motion is included.

Peak list (12 most intense, 2θ = 10–90°, in order of rising 2θ)
d_spacing, I_rel
4.444, 50
2.721, 9
2.321, 100
2.222, 69
1.924, 21
1.766, 13
1.481, 33
1.361, 32
1.301, 10
1.174, 12
1.160, 27
1.111, 5

Structure:
```
6
Lattice="0.0000 3.8486 3.8486 3.8486 0.0000 3.8486 3.8486 3.8486 0.0000" Properties=species:S:1:pos:R:3 pbc="T T T"
Ca 0.0000 0.0000 0.0000
Te 1.9243 1.9243 1.9243
Pt 4.8114 2.8859 2.8859
Pt 2.8859 4.8114 2.8859
Pt 2.8859 2.8859 4.8114
Pt 4.8114 4.8114 4.8114
```

=====

Ca4TlPt: calculated XRD peak list (Cu Kα), based on a crystal structure in Alexandria, relaxed with GGA-PBE.
No peak broadening, texture or thermal motion is included.

Peak list (12 most intense, 2θ = 10–90°, in order of rising 2θ)
d_spacing, I_rel
6.973, 74
5.335, 48
4.395, 46
4.297, 77
4.089, 100
2.963, 50
2.717, 52
2.653, 56
2.539, 81
2.439, 57
2.212, 38
2.052, 54

Structure:
```
12
Lattice="4.6033 -6.9727 0.0000 4.6033 6.9727 0.0000 -2.1760 0.0000 5.6617" Properties=species:S:1:pos:R:3 pbc="T T T"
Ca 1.5107 4.5830 5.2998
Ca 1.2338 1.0050 3.6896
Ca 4.4318 4.5830 3.1927
Ca 2.3218 -1.0050 0.8588
Ca 4.7088 1.0050 4.8028
Ca 2.5987 -4.5830 2.4690
Ca 5.7968 -1.0050 1.9720
Ca 5.5198 -4.5830 0.3618
Tl 4.0593 1.8249 1.4154
Tl 2.9713 -1.8249 4.2462
Pt 2.9713 6.9627 4.2462
Pt 4.0593 -6.9627 1.4154
```

=====

Ca5TlPt2: calculated XRD peak list (Cu Kα), based on a crystal structure in Alexandria, relaxed with GGA-PBE.
No peak broadening, texture or thermal motion is included.

Peak list (12 most intense, 2θ = 10–90°, in order of rising 2θ)
d_spacing, I_rel
7.191, 30
4.412, 100
3.595, 28
3.432, 35
2.845, 87
2.659, 24
2.499, 58
2.231, 35
2.204, 25
2.052, 36
1.905, 27
1.459, 25

Structure:
```
16
Lattice="-3.9511 3.9511 7.1908 3.9511 -3.9511 7.1908 3.9511 3.9511 -7.1908" Properties=species:S:1:pos:R:3 pbc="T T T"
Ca 0.0000 0.0000 0.0000
Ca 5.2747 1.3236 -1.9230
Ca 1.3236 2.6274 -1.9230
Ca 5.2747 1.3236 1.9230
Ca 1.3236 2.6274 1.9230
Ca 0.0000 0.0000 7.1908
Ca 2.6274 1.3236 5.2679
Ca -1.3236 2.6274 5.2679
Ca 2.6274 1.3236 9.1138
Ca -1.3236 2.6274 9.1138
Tl 0.0000 0.0000 3.5954
Tl 0.0000 0.0000 10.7862
Pt 2.9364 1.0146 0.0000
Pt 2.9364 -1.0146 7.1908
Pt 1.0146 4.9657 0.0000
Pt 1.0146 2.9364 7.1908
```

=====

CaTm4Pt5: calculated XRD peak list (Cu Kα), based on a crystal structure in Alexandria, relaxed with GGA-PBE.
No peak broadening, texture or thermal motion is included.

Peak list (12 most intense, 2θ = 10–90°, in order of rising 2θ)
d_spacing, I_rel
8.757, 6
5.838, 3
2.454, 100
2.432, 51
2.226, 4
1.751, 8
1.720, 18
1.421, 16
1.408, 36
1.227, 10
1.216, 6
1.106, 6

Structure:
```
10
Lattice="3.4395 0.0000 0.0000 0.0000 3.4395 0.0000 0.0000 0.0000 17.5149" Properties=species:S:1:pos:R:3 pbc="T T T"
Ca 0.0000 0.0000 0.0000
Tm 0.0000 0.0000 3.5396
Tm 0.0000 0.0000 7.0299
Tm 0.0000 0.0000 10.4849
Tm 0.0000 0.0000 13.9752
Pt 1.7197 1.7197 1.9810
Pt 1.7197 1.7197 5.3306
Pt 1.7197 1.7197 8.7574
Pt 1.7197 1.7197 12.1843
Pt 1.7197 1.7197 15.5338
```

=====

Ca2TmPt3: calculated XRD peak list (Cu Kα), based on a crystal structure in Alexandria, relaxed with GGA-PBE.
No peak broadening, texture or thermal motion is included.

Peak list (12 most intense, 2θ = 10–90°, in order of rising 2θ)
d_spacing, I_rel
7.016, 16
3.508, 9
3.469, 19
2.467, 100
2.458, 25
2.447, 26
1.938, 9
1.734, 17
1.421, 17
1.417, 18
1.233, 10
1.098, 11

Structure:
```
12
Lattice="2.4471 -7.3746 0.0000 2.4471 7.3746 0.0000 0.0000 0.0000 7.0162" Properties=species:S:1:pos:R:3 pbc="T T T"
Ca 0.0000 0.0000 0.0000
Ca 0.0000 0.0000 3.5081
Ca 2.4471 2.4524 0.0000
Ca 2.4471 -2.4524 0.0000
Tm 2.4471 2.4068 3.5081
Tm 2.4471 -2.4068 3.5081
Pt 2.4471 4.8115 1.9009
Pt 2.4471 4.8115 5.1154
Pt 2.4471 0.0000 1.8189
Pt 2.4471 0.0000 5.1974
Pt 2.4471 -4.8115 1.9009
Pt 2.4471 -4.8115 5.1154
```

=====

Ca4PtW: calculated XRD peak list (Cu Kα), based on a crystal structure in Alexandria, relaxed with GGA-PBE.
No peak broadening, texture or thermal motion is included.

Peak list (12 most intense, 2θ = 10–90°, in order of rising 2θ)
d_spacing, I_rel
4.952, 42
3.033, 88
2.586, 100
1.968, 13
1.751, 36
1.651, 34
1.516, 23
1.450, 10
1.356, 16
1.308, 12
1.146, 19
1.117, 21

Structure:
```
6
Lattice="0.0000 4.2888 4.2888 4.2888 0.0000 4.2888 4.2888 4.2888 0.0000" Properties=species:S:1:pos:R:3 pbc="T T T"
Ca 1.0683 1.0683 1.0683
Ca 3.2205 3.2205 1.0683
Ca 3.2205 1.0683 3.2205
Ca 1.0683 3.2205 3.2205
Pt 6.4332 6.4332 6.4332
W 4.2888 4.2888 4.2888
```

=====

CaPtW: calculated XRD peak list (Cu Kα), based on a crystal structure in Alexandria, relaxed with GGA-PBE.
No peak broadening, texture or thermal motion is included.

Peak list (12 most intense, 2θ = 10–90°, in order of rising 2θ)
d_spacing, I_rel
5.519, 52
3.316, 18
3.243, 16
2.482, 54
2.445, 45
2.433, 97
2.319, 100
2.103, 16
1.825, 27
1.658, 17
1.622, 17
1.377, 17

Structure:
```
6
Lattice="3.2432 0.0000 0.0000 0.0051 3.3162 0.0000 0.0059 0.1690 11.0388" Properties=species:S:1:pos:R:3 pbc="T T T"
Ca 0.0000 0.0000 0.0000
Ca 0.0055 0.1692 7.3096
Pt 1.6250 1.6784 2.0414
Pt 1.6298 1.8277 9.1391
W 1.6290 1.8016 4.9972
W 3.2453 3.2476 3.6918
```

=====

CaYPt2: calculated XRD peak list (Cu Kα), based on a crystal structure in Alexandria, relaxed with GGA-PBE.
No peak broadening, texture or thermal motion is included.

Peak list (12 most intense, 2θ = 10–90°, in order of rising 2θ)
d_spacing, I_rel
5.343, 34
3.632, 55
3.399, 29
2.803, 80
2.672, 19
2.284, 39
2.251, 100
2.203, 31
1.931, 21
1.884, 19
1.475, 20
1.281, 17

Structure:
```
4
Lattice="4.4058 0.0000 0.0000 0.0000 1.9311 5.3433 0.0000 -1.9311 5.3433" Properties=species:S:1:pos:R:3 pbc="T T T"
Ca 0.0000 0.0000 0.0000
Y 2.2029 0.0000 3.0075
Pt 0.0000 0.0000 7.7506
Pt 2.2029 0.0000 5.9855
```

=====

Ca2YPt: calculated XRD peak list (Cu Kα), based on a crystal structure in Alexandria, relaxed with GGA-PBE.
No peak broadening, texture or thermal motion is included.

Peak list (12 most intense, 2θ = 10–90°, in order of rising 2θ)
d_spacing, I_rel
8.148, 100
4.074, 17
3.980, 16
2.801, 14
2.770, 48
2.716, 13
2.552, 9
2.497, 31
2.129, 20
2.052, 8
1.929, 7
1.656, 10

Structure:
```
4
Lattice="3.8584 0.0000 0.0000 0.0000 2.0522 8.1483 0.0000 -2.0522 8.1483" Properties=species:S:1:pos:R:3 pbc="T T T"
Ca 0.0000 0.0000 0.0000
Ca 1.9292 0.0000 5.3790
Y 1.9292 0.0000 10.5627
Pt 0.0000 0.0000 3.0079
```

=====

Ca3Y3Pt4: calculated XRD peak list (Cu Kα), based on a crystal structure in Alexandria, relaxed with GGA-PBE.
No peak broadening, texture or thermal motion is included.

Peak list (12 most intense, 2θ = 10–90°, in order of rising 2θ)
d_spacing, I_rel
5.612, 35
5.495, 18
3.945, 28
3.483, 17
2.635, 87
2.611, 100
2.499, 29
2.468, 26
1.972, 21
1.963, 22
1.377, 17
1.359, 17

Structure:
```
10
Lattice="3.9448 0.0000 0.0000 0.0000 5.4951 5.6117 0.0000 -5.4951 5.6117" Properties=species:S:1:pos:R:3 pbc="T T T"
Ca 0.0000 0.0000 0.0000
Ca 1.9724 -2.7871 6.6421
Ca 1.9724 2.7871 6.6421
Y 0.0000 -1.7298 3.8584
Y 0.0000 1.7298 3.8584
Y 0.0000 0.0000 7.7080
Pt 1.9724 0.0000 2.4299
Pt 1.9724 0.0000 5.4336
Pt 1.9724 -1.5406 9.3710
Pt 1.9724 1.5406 9.3710
```